Structure and calculated powder diffractogram of SiO2 (a cell relaxed with PBE; Cu Kα (λ = 1.5418 Å)).
Kinematic intensities with the Lorentz-polarization factor, no thermal factor.

Structural model:
a b c (Å): 4.6827 4.6845 8.3281
angles (deg): 90.00 113.26 90.00
Space group P2/c (No. 13)
One atom of each set of equivalent atoms:
Si1 0.2359 0.2262 0.4439 x4
O1 0.0000 0.0000 0.0000 x2
O2 0.0000 0.3309 0.2500 x2
O3 0.5000 0.0000 0.0000 x2
O4 0.5000 0.5000 0.0000 x2

Principal peaks in the range 10 to 90 degrees two-theta, in order of falling intensity:
| h k l | Position (°2θ) | I (rel.) |
| --- | --- | --- |
| 1 1 -1 | 27.1 | 100.0 |
| 0 0 2 | 23.3 | 96.2 |
| 1 0 -2 | 24.3 | 64.1 |
| 0 1 1 | 22.3 | 42.5 |
| 2 2 -2 | 56.0 | 22.7 |
| 2 2 0 | 58.2 | 16.6 |
| 0 1 2 | 30.2 | 15.5 |
| 1 1 1 | 33.6 | 14.9 |
| 2 1 -3 | 47.4 | 13.0 |
| 2 2 2 | 70.7 | 9.9 |